[1]
# Y2Mg3Zn4
Theoretical powder diffractogram, λ = 1.5418 Å (Cu Kα). Input: a structure optimized by DFT (PBE).
Neutral-atom scattering factors, no anomalous dispersion.

Structure:
Cell lengths 9.5335, 9.5335, 9.4432 Å; angles 90.00, 90.00, 120.00 degrees
Space group P6_3/mmc (No. 194)
Asymmetric unit:
1 Y 0.0000 0.0000 0.2500 x2
2 Y 0.2123 0.4246 0.2500 x6
3 Mg 0.1633 0.3265 0.5846 x12
4 Zn 0.0000 0.5000 0.0000 x6
5 Zn 0.1309 0.5654 0.7500 x6
6 Zn 0.3333 0.6667 0.0015 x4

Most intense lines, 10° ≤ 2θ ≤ 80°, in order of rising 2θ:
Position (°2θ), intensity, (hkl)
10.72, 653, 1 0 0
33.93, 747, 3 0 1
34.45, 1000, 2 1 2
35.88, 400, 2 0 3
37.76, 753, 2 2 0
38.12, 384, 0 0 4
43.69, 329, 3 0 3
43.94, 362, 3 1 2

[2]
# YMgZn
Theoretical powder diffractogram, λ = 1.5418 Å (Cu Kα). Input: a structure optimized by DFT (PBE).
Neutral-atom scattering factors, no anomalous dispersion.

Structure:
Cell lengths 7.5136, 7.5136, 4.2220 Å; angles 90.00, 90.00, 120.00 degrees
Space group P-62m (No. 189)
Asymmetric unit:
1 Y 0.0000 0.4124 0.0000 x3
2 Mg 0.0000 0.7543 0.5000 x3
3 Zn 0.0000 0.0000 0.0000 x1
4 Zn 0.3333 0.6667 0.5000 x2

Most intense lines, 10° ≤ 2θ ≤ 80°, in order of rising 2θ:
Position (°2θ), intensity, (hkl)
23.68, 252, 1 1 0
31.89, 837, 1 1 1
34.81, 1000, 2 0 1
36.54, 257, 2 1 0
41.64, 301, 3 0 0
42.54, 243, 2 1 1
42.84, 251, 0 0 2
66.43, 234, 3 2 1

[3]
# YMg6Zr
Theoretical powder diffractogram, λ = 1.5418 Å (Cu Kα). Input: a structure optimized by DFT (PBE).
Neutral-atom scattering factors, no anomalous dispersion.

Structure:
Cell lengths 8.475, 9.518, 4.707 Å; angles 90.00, 90.00, 90.00 degrees
Space group Cmmm (No. 65)
Asymmetric unit:
1 Y 0.000 0.000 0.000 x2
2 Mg 0.000 0.257 0.500 x4
3 Mg 0.241 0.500 0.500 x4
4 Mg 0.250 0.250 0.000 x4
5 Zr 0.000 0.500 0.000 x2

Most intense lines, 10° ≤ 2θ ≤ 80°, in order of rising 2θ:
Position (°2θ), intensity, (hkl)
18.64, 178, 0 2 0
18.85, 173, 0 0 1
20.96, 135, 2 0 0
26.64, 148, 0 2 1
34.14, 1000, 2 2 1
37.81, 187, 0 4 0
38.24, 182, 0 0 2
65.93, 136, 2 6 1

Repeat the second record exactly.
# YMgZn
Theoretical powder diffractogram, λ = 1.5418 Å (Cu Kα). Input: a structure optimized by DFT (PBE).
Neutral-atom scattering factors, no anomalous dispersion.

Structure:
Cell lengths 7.5136, 7.5136, 4.2220 Å; angles 90.00, 90.00, 120.00 degrees
Space group P-62m (No. 189)
Asymmetric unit:
1 Y 0.0000 0.4124 0.0000 x3
2 Mg 0.0000 0.7543 0.5000 x3
3 Zn 0.0000 0.0000 0.0000 x1
4 Zn 0.3333 0.6667 0.5000 x2

Most intense lines, 10° ≤ 2θ ≤ 80°, in order of rising 2θ:
Position (°2θ), intensity, (hkl)
23.68, 252, 1 1 0
31.89, 837, 1 1 1
34.81, 1000, 2 0 1
36.54, 257, 2 1 0
41.64, 301, 3 0 0
42.54, 243, 2 1 1
42.84, 251, 0 0 2
66.43, 234, 3 2 1

Copy entry 1 word for word.
# Y2Mg3Zn4
Theoretical powder diffractogram, λ = 1.5418 Å (Cu Kα). Input: a structure optimized by DFT (PBE).
Neutral-atom scattering factors, no anomalous dispersion.

Structure:
Cell lengths 9.5335, 9.5335, 9.4432 Å; angles 90.00, 90.00, 120.00 degrees
Space group P6_3/mmc (No. 194)
Asymmetric unit:
1 Y 0.0000 0.0000 0.2500 x2
2 Y 0.2123 0.4246 0.2500 x6
3 Mg 0.1633 0.3265 0.5846 x12
4 Zn 0.0000 0.5000 0.0000 x6
5 Zn 0.1309 0.5654 0.7500 x6
6 Zn 0.3333 0.6667 0.0015 x4

Most intense lines, 10° ≤ 2θ ≤ 80°, in order of rising 2θ:
Position (°2θ), intensity, (hkl)
10.72, 653, 1 0 0
33.93, 747, 3 0 1
34.45, 1000, 2 1 2
35.88, 400, 2 0 3
37.76, 753, 2 2 0
38.12, 384, 0 0 4
43.69, 329, 3 0 3
43.94, 362, 3 1 2